Simulated powder diffractogram
Compound: BaSr3Br8
Radiation: a wavelength of 1.5418 Å
Structure: DFT lattice parameters and positions (GGA-PBE)
No peak broadening, texture or thermal motion is included.

Largest 10 diffraction maxima, sorted by position, 10° ≤ 2θ ≤ 90°:
two_theta	Rel. int.	index
13.93	322	0 0 3
22.14	254	0 2 1
28.68	1000	0 2 4
37.94	461	2 2 0
40.60	133	2 2 3
43.90	302	2 0 8
48.24	225	4 0 4
62.96	197	2 4 4
71.44	136	2 2 12
72.67	128	4 2 8

Structure:
a b c (Å): 9.4863 9.4863 19.0762
angles (deg): 90.00 90.00 120.00
Space group R-3m (No. 166, hexagonal axes)
Asymmetric unit:
1 Ba 0.0000 0.0000 0.0000 (multiplicity 3)
2 Sr 0.0000 0.5000 0.0000 (multiplicity 9)
3 Br 0.0000 0.0000 0.2533 (multiplicity 6)
4 Br 0.0145 0.5072 0.2532 (multiplicity 18)

---

Simulated powder diffractogram
Compound: Nd6Y2Tm5
Radiation: a wavelength of 1.5418 Å
Structure: DFT lattice parameters and positions (GGA-PBE)
No peak broadening, texture or thermal motion is included.

Largest 10 diffraction maxima, sorted by position, 10° ≤ 2θ ≤ 90°:
two_theta	Rel. int.	index
30.28	238	0 4 1
30.82	498	4 1 0
31.23	496	1 4 1
31.55	656	1 7 0
31.71	342	4 2 0
31.89	1000	2 3 1
33.99	342	2 4 1
34.92	259	3 6 0
36.31	251	3 3 1
60.74	270	1 7 2

Structure:
a b c (Å): 11.724 20.460 3.618
angles (deg): 90.00 90.00 90.00
Space group Pbam (No. 55)
Asymmetric unit:
1 Nd 0.058 0.080 0.000 (multiplicity 4)
2 Nd 0.082 0.366 0.000 (multiplicity 4)
3 Nd 0.174 0.631 0.500 (multiplicity 4)
4 Y 0.164 0.788 0.000 (multiplicity 4)
5 Tm 0.000 0.500 0.500 (multiplicity 2)
6 Tm 0.096 0.225 0.500 (multiplicity 4)
7 Tm 0.200 0.944 0.500 (multiplicity 4)

---

Simulated powder diffractogram
Compound: Cs2Hg2Cl7
Radiation: a wavelength of 1.5418 Å
Structure: DFT lattice parameters and positions (GGA-PBE)
No peak broadening, texture or thermal motion is included.

Largest 10 diffraction maxima, sorted by position, 10° ≤ 2θ ≤ 90°:
two_theta	Rel. int.	index
11.48	733	0 2 0
19.86	517	1 3 0
20.62	285	0 2 1
22.09	696	2 0 -1
22.74	1000	1 1 1
24.40	382	1 3 -1
30.11	660	3 1 0
33.61	546	1 1 -2
34.93	372	0 6 0
41.72	253	2 6 -1

Structure:
a b c (Å): 9.455 15.411 5.415
angles (deg): 90.00 106.35 90.00
Space group C2/m (No. 12)
Asymmetric unit:
1 Cs 0.000 0.160 0.000 (multiplicity 4)
2 Hg 0.186 0.500 0.339 (multiplicity 4)
3 Cl 0.000 0.000 0.500 (multiplicity 2)
4 Cl 0.164 0.500 0.832 (multiplicity 4)
5 Cl 0.198 0.343 0.354 (multiplicity 8)

---

Simulated powder diffractogram
Compound: Pm2CuS3
Radiation: a wavelength of 1.5418 Å
Structure: DFT lattice parameters and positions (GGA-PBE)
No peak broadening, texture or thermal motion is included.

Largest 10 diffraction maxima, sorted by position, 10° ≤ 2θ ≤ 90°:
two_theta	Rel. int.	index
21.47	245	0 1 1
22.66	257	0 0 4
26.87	479	0 1 3
29.08	672	1 0 3
31.48	1000	1 1 0
34.28	258	0 0 6
39.14	455	1 1 4
42.11	300	0 2 0
47.22	258	1 1 6
51.99	269	1 2 3

Structure:
a b c (Å): 3.792 4.292 15.697
angles (deg): 90.00 90.00 90.00
Space group Immm (No. 71)
Asymmetric unit:
1 Pm 0.000 0.000 0.140 (multiplicity 4)
2 Cu 0.000 0.000 0.500 (multiplicity 2)
3 S 0.000 0.000 0.324 (multiplicity 4)
4 S 0.000 0.500 0.500 (multiplicity 2)

---

Simulated powder diffractogram
Compound: Er3InOs
Radiation: a wavelength of 1.5418 Å
Structure: DFT lattice parameters and positions (GGA-PBE)
No peak broadening, texture or thermal motion is included.

Largest 10 diffraction maxima, sorted by position, 10° ≤ 2θ ≤ 90°:
two_theta	Rel. int.	index
10.90	408	0 0 2
31.89	569	1 3 1
32.22	555	1 1 5
35.22	1000	2 2 2
35.38	691	2 0 4
35.61	301	1 3 3
37.85	230	0 4 0
38.28	392	0 2 6
40.29	436	2 2 4
57.96	263	1 5 5

Structure:
a b c (Å): 6.502 9.508 16.234
angles (deg): 90.00 90.00 90.00
Space group Fmmm (No. 69)
Asymmetric unit:
1 Er 0.000 0.000 0.201 (multiplicity 8)
2 Er 0.000 0.190 0.388 (multiplicity 16)
3 In 0.211 0.000 0.000 (multiplicity 8)
4 Os 0.250 0.250 0.250 (multiplicity 8)

---

Simulated powder diffractogram
Compound: Tb2CeDy6
Radiation: a wavelength of 1.5418 Å
Structure: DFT lattice parameters and positions (GGA-PBE)
No peak broadening, texture or thermal motion is included.

Largest 10 diffraction maxima, sorted by position, 10° ≤ 2θ ≤ 90°:
two_theta	Rel. int.	index
28.34	486	0 0 6
28.73	1000	0 2 1
29.90	196	2 0 2
34.21	712	0 2 4
37.15	837	2 0 5
44.18	205	0 2 7
50.16	427	2 2 0
56.81	166	0 2 10
58.61	316	2 2 6
61.48	202	2 0 11

Structure:
a b c (Å): 7.2755 7.2755 18.8972
angles (deg): 90.00 90.00 120.00
Space group R3m (No. 160, hexagonal axes)
Asymmetric unit:
1 Tb 0.0000 0.0000 0.0000 (multiplicity 3)
2 Tb 0.0000 0.0000 0.1770 (multiplicity 3)
3 Ce 0.0000 0.0000 0.4379 (multiplicity 3)
4 Dy 0.1726 0.3453 0.3238 (multiplicity 9)
5 Dy 0.1846 0.3693 0.5174 (multiplicity 9)

---

Simulated powder diffractogram
Compound: Li7AlCd3
Radiation: a wavelength of 1.5418 Å
Structure: DFT lattice parameters and positions (GGA-PBE)
No peak broadening, texture or thermal motion is included.

Largest 10 diffraction maxima, sorted by position, 10° ≤ 2θ ≤ 90°:
two_theta	Rel. int.	index
10.39	585	0 2 1
15.24	1000	0 4 0
22.65	364	0 2 3
22.95	773	0 6 0
28.53	561	0 0 4
33.21	623	1 3 0
36.93	543	0 6 4
41.50	449	1 7 0
42.86	505	1 1 4
44.34	473	1 3 4

Structure:
a b c (Å): 2.878 23.254 12.513
angles (deg): 90.00 90.00 90.00
Space group Cmcm (No. 63)
Asymmetric unit:
1 Li 0.000 0.048 0.073 (multiplicity 8)
2 Li 0.000 0.072 0.640 (multiplicity 8)
3 Li 0.000 0.134 0.250 (multiplicity 4)
4 Li 0.000 0.245 0.620 (multiplicity 8)
5 Al 0.000 0.484 0.750 (multiplicity 4)
6 Cd 0.000 0.338 0.250 (multiplicity 4)
7 Cd 0.000 0.349 0.513 (multiplicity 8)

---

Simulated powder diffractogram
Compound: Pa4Si3Pt
Radiation: a wavelength of 1.5418 Å
Structure: DFT lattice parameters and positions (GGA-PBE)
No peak broadening, texture or thermal motion is included.

Largest 10 diffraction maxima, sorted by position, 10° ≤ 2θ ≤ 90°:
two_theta	Rel. int.	index
27.99	428	1 0 2
32.50	1000	1 1 1
33.45	476	0 1 3
33.69	264	0 0 4
40.59	326	1 1 3
44.32	208	0 2 0
45.57	192	2 0 0
56.82	207	0 2 4
57.70	208	2 1 3
65.48	260	2 2 0

Structure:
a b c (Å): 3.981 4.087 10.641
angles (deg): 90.00 90.00 90.00
Space group Pmm2 (No. 25)
Asymmetric unit:
1 Pa 0.000 0.000 0.000 (multiplicity 1)
2 Pa 0.000 0.500 0.490 (multiplicity 1)
3 Pa 0.500 0.000 0.705 (multiplicity 1)
4 Pa 0.500 0.500 0.211 (multiplicity 1)
5 Si 0.000 0.000 0.275 (multiplicity 1)
6 Si 0.500 0.000 0.431 (multiplicity 1)
7 Si 0.500 0.500 0.932 (multiplicity 1)
8 Pt 0.000 0.500 0.774 (multiplicity 1)